Diffraction record for HgRu3Br. The powder X-ray diffraction pattern is computed, not measured: it uses a crystal structure in Alexandria, relaxed with PBE and Cu Ka.

Crystal structure
abc: 4.568 4.568 4.568
angles: 90.00 90.00 90.00
Space group Pm-3m (No. 221)
Symmetry-distinct sites (fractional):
Hg (0.000, 0.000, 0.000) (multiplicity 1)
Ru (0.000, 0.500, 0.500) (multiplicity 3)
Br (0.500, 0.500, 0.500) (multiplicity 1)

Main lines, by angle (2θ from 10° to 90°):
two_theta, I/Imax, index
27.6, 44, 1 1 0
34.0, 100, 1 1 1
39.5, 95, 2 0 0
48.8, 19, 2 1 1
57.0, 64, 2 2 0
68.1, 40, 3 1 1
71.5, 22, 2 2 2
84.9, 10, 4 0 0

---

Diffraction record for Tm2PuRhN4. The powder X-ray diffraction pattern is computed, not measured: it uses a crystal structure in Alexandria, relaxed with PBE and Cu Ka.

Crystal structure
abc: 3.309 11.447 11.460
angles: 90.00 90.00 90.00
Space group Cmcm (No. 63)
Symmetry-distinct sites (fractional):
Tm (0.000, 0.129, 0.047) (multiplicity 8)
Pu (0.000, 0.381, 0.250) (multiplicity 4)
Rh (0.000, 0.358, 0.750) (multiplicity 4)
N (0.000, 0.030, 0.250) (multiplicity 4)
N (0.000, 0.224, 0.629) (multiplicity 8)
N (0.000, 0.500, 0.000) (multiplicity 4)

Main lines, by angle (2θ from 10° to 90°):
two_theta, I/Imax, index
28.1, 62, 0 2 3
31.2, 98, 0 4 0
32.2, 100, 1 1 2
36.8, 25, 1 3 1
39.3, 81, 1 3 2
44.8, 25, 0 4 4
51.1, 30, 1 5 2
65.1, 34, 0 8 0